1.
CoPO4: simulated X-ray powder pattern (Cu Kα), based on a DFT-relaxed cell (PBE+U, the Materials Project).
Neutral-atom scattering factors, no anomalous dispersion.

Top 10 peaks for 10 to 80 degrees two-theta, sorted by position:
2θ/deg	d/Å	I (rel.)
21.51	4.131	100
26.15	3.408	6
27.53	3.239	5
31.33	2.855	6
32.77	2.733	5
34.29	2.615	21
36.06	2.491	8
40.84	2.210	7
43.86	2.064	6
54.52	1.683	5

Crystal structure
```
CoPO4
1.0
10.465 0.000 0.000
0.000 5.229 0.000
0.000 0.000 13.472
Co P O
8 8 32
direct
0.033 0.072 0.000
0.215 0.447 0.248
0.285 0.447 0.748
0.467 0.072 0.500
0.533 0.928 0.000
0.715 0.553 0.248
0.785 0.553 0.748
0.967 0.928 0.500
0.033 0.564 0.874
0.220 0.951 0.625
0.280 0.951 0.125
0.467 0.564 0.374
0.533 0.436 0.874
0.720 0.049 0.625
0.780 0.049 0.125
0.967 0.436 0.374
0.004 0.590 0.468
0.007 0.852 0.894
0.045 0.513 0.281
0.076 0.996 0.606
0.177 0.517 0.854
0.205 0.040 0.031
0.238 0.102 0.219
0.245 0.662 0.643
0.255 0.662 0.143
0.262 0.102 0.719
0.295 0.040 0.531
0.323 0.517 0.354
0.424 0.996 0.106
0.455 0.513 0.781
0.493 0.852 0.394
0.496 0.590 0.968
0.504 0.410 0.468
0.507 0.148 0.894
0.545 0.487 0.281
0.576 0.004 0.606
0.677 0.483 0.854
0.705 0.960 0.031
0.738 0.898 0.219
0.745 0.338 0.643
0.755 0.338 0.143
0.762 0.898 0.719
0.795 0.960 0.531
0.823 0.483 0.354
0.924 0.004 0.106
0.955 0.487 0.781
0.993 0.148 0.394
0.996 0.410 0.968
```

2.
MnNi5B2O10: simulated X-ray powder pattern (Cu Kα), based on a DFT-relaxed cell (PBE+U, the Materials Project).
Neutral-atom scattering factors, no anomalous dispersion.

Top 10 peaks for 10 to 80 degrees two-theta, sorted by position:
2θ/deg	d/Å	I (rel.)
17.22	5.149	52
19.24	4.613	25
34.85	2.575	100
35.62	2.520	75
38.25	2.353	33
42.66	2.119	23
44.59	2.032	29
47.65	1.908	38
58.54	1.577	24
61.54	1.507	34

Crystal structure
```
MnNi5B2O10
1.0
3.009 0.000 0.000
0.000 9.226 0.000
0.000 0.000 12.411
Mn Ni B O
2 10 4 20
direct
0.000 0.009 0.000
0.000 0.991 0.500
0.000 0.255 0.385
0.000 0.490 0.773
0.000 0.510 0.273
0.000 0.745 0.885
0.500 0.254 0.168
0.500 0.255 0.607
0.500 0.255 0.885
0.500 0.745 0.107
0.500 0.745 0.385
0.500 0.746 0.668
0.000 0.024 0.747
0.000 0.474 0.026
0.000 0.526 0.526
0.000 0.976 0.247
0.000 0.101 0.650
0.000 0.101 0.843
0.000 0.125 0.245
0.000 0.374 0.527
0.000 0.399 0.123
0.000 0.399 0.930
0.000 0.601 0.430
0.000 0.601 0.623
0.000 0.626 0.027
0.000 0.875 0.745
0.000 0.899 0.150
0.000 0.899 0.343
0.500 0.131 0.465
0.500 0.139 0.029
0.500 0.358 0.744
0.500 0.364 0.309
0.500 0.636 0.809
0.500 0.642 0.244
0.500 0.861 0.529
0.500 0.869 0.965
```

3.
Co2OF3: simulated X-ray powder pattern (Cu Kα), based on a DFT-relaxed cell (PBE+U, the Materials Project).
Neutral-atom scattering factors, no anomalous dispersion.

Top 10 peaks for 10 to 80 degrees two-theta, sorted by position:
2θ/deg	d/Å	I (rel.)
25.62	3.476	100
26.87	3.317	91
34.84	2.575	97
37.47	2.400	17
40.15	2.246	16
51.39	1.778	65
52.66	1.738	19
52.79	1.734	49
60.70	1.526	16
65.92	1.417	40

Crystal structure
```
Co2OF3
1.0
9.612 -3.051 0.000
9.612 3.051 0.000
-0.225 0.000 4.799
Co O F
8 4 12
direct
0.000 0.000 0.000
0.118 0.632 0.499
0.260 0.260 0.040
0.368 0.882 0.501
0.500 0.500 0.000
0.632 0.118 0.499
0.740 0.740 0.960
0.882 0.368 0.501
0.082 0.082 0.327
0.330 0.330 0.319
0.670 0.670 0.681
0.918 0.918 0.673
0.048 0.548 0.807
0.180 0.180 0.717
0.200 0.701 0.195
0.299 0.800 0.805
0.425 0.425 0.701
0.452 0.952 0.193
0.548 0.048 0.807
0.575 0.575 0.299
0.701 0.200 0.195
0.800 0.299 0.805
0.820 0.820 0.283
0.952 0.452 0.193
```

4.
MgV4O8F4: simulated X-ray powder pattern (Cu Kα), based on a DFT-relaxed cell (PBE+U, the Materials Project).
Neutral-atom scattering factors, no anomalous dispersion.

Top 10 peaks for 10 to 80 degrees two-theta, sorted by position:
2θ/deg	d/Å	I (rel.)
23.28	3.821	100
23.65	3.763	96
24.68	3.607	87
32.81	2.730	23
33.11	2.706	30
34.04	2.634	32
40.21	2.243	16
47.60	1.910	22
48.38	1.881	25
50.61	1.804	18

Crystal structure
```
MgV4O8F4
1.0
5.103 0.000 0.000
2.433 4.545 0.000
2.042 1.532 8.969
Mg V O F
1 4 8 4
direct
0.000 0.000 0.000
0.146 0.027 0.673
0.319 0.361 0.937
0.620 0.564 0.190
0.905 0.803 0.432
0.113 0.752 0.832
0.228 0.781 0.337
0.287 0.149 0.832
0.355 0.602 0.080
0.474 0.858 0.579
0.805 0.633 0.328
0.892 0.035 0.571
0.979 0.340 0.082
0.066 0.450 0.581
0.613 0.968 0.075
0.643 0.194 0.325
0.717 0.320 0.846
```

5.
K4Li5Mn2O8: simulated X-ray powder pattern (Cu Kα), based on a DFT-relaxed cell (PBE+U, the Materials Project).
Neutral-atom scattering factors, no anomalous dispersion.

Top 10 peaks for 10 to 80 degrees two-theta, sorted by position:
2θ/deg	d/Å	I (rel.)
16.85	5.262	34
19.90	4.461	53
21.76	4.084	40
21.95	4.050	68
33.23	2.696	53
33.77	2.654	83
34.10	2.629	100
34.25	2.618	76
40.44	2.230	33
44.19	2.050	32

Crystal structure
```
K4Li5Mn2O8
1.0
5.555 0.000 0.000
-0.009 8.923 0.000
-1.905 -0.175 10.783
K Li Mn O
8 10 4 16
direct
0.000 0.000 0.000
0.073 0.255 0.517
0.237 0.523 0.782
0.328 0.772 0.298
0.469 0.798 0.963
0.569 0.994 0.518
0.693 0.231 0.795
0.778 0.522 0.304
0.093 0.248 0.221
0.174 0.745 0.570
0.303 0.234 0.948
0.304 0.508 0.452
0.493 0.280 0.348
0.624 0.777 0.711
0.717 0.289 0.080
0.811 0.524 0.946
0.872 0.739 0.141
0.992 0.004 0.344
0.104 0.981 0.702
0.249 0.474 0.100
0.563 0.063 0.197
0.721 0.535 0.594
0.009 0.545 0.535
0.048 0.305 0.039
0.070 0.957 0.529
0.080 0.665 0.050
0.186 0.168 0.770
0.252 0.455 0.275
0.295 0.822 0.736
0.306 0.083 0.297
0.506 0.680 0.533
0.510 0.457 0.006
0.555 0.093 0.029
0.584 0.363 0.517
0.728 0.565 0.759
0.735 0.868 0.232
0.770 0.226 0.266
0.819 0.956 0.753
```

6.
MgFe8O8F8: simulated X-ray powder pattern (Cu Kα), based on a DFT-relaxed cell (PBE+U, the Materials Project).
Neutral-atom scattering factors, no anomalous dispersion.

Top 10 peaks for 10 to 80 degrees two-theta, sorted by position:
2θ/deg	d/Å	I (rel.)
25.48	3.496	100
25.93	3.437	89
34.28	2.616	56
34.53	2.598	29
34.83	2.576	24
50.52	1.807	28
51.23	1.783	41
51.58	1.772	15
52.33	1.748	19
60.31	1.535	21

Crystal structure
```
MgFe8O8F8
1.0
3.070 0.000 0.000
0.183 9.755 0.000
0.067 0.170 9.854
Mg Fe O F
1 8 8 8
direct
0.000 0.000 0.000
0.447 0.499 0.752
0.451 0.530 0.229
0.471 0.974 0.734
0.476 0.968 0.262
0.903 0.727 0.971
0.959 0.276 0.971
0.959 0.730 0.468
0.969 0.251 0.486
0.421 0.637 0.887
0.463 0.636 0.393
0.467 0.149 0.935
0.501 0.883 0.084
0.947 0.609 0.136
0.948 0.886 0.842
0.951 0.397 0.825
0.976 0.889 0.349
0.456 0.364 0.083
0.457 0.821 0.579
0.462 0.360 0.583
0.474 0.141 0.394
0.949 0.592 0.639
0.961 0.402 0.318
0.978 0.101 0.173
0.993 0.095 0.641
```